Record 1
The following is a theoretical X-ray powder pattern of KYBi2Mo. It was derived from the PBE geometry in Alexandria, using a wavelength of 1.5418 Å.
Peak positions follow from Bragg's law for the DFT cell and can differ from measured ones.

```
KYBi2Mo
1.0
5.863 0.000 0.000
0.000 5.863 0.000
0.000 0.000 6.301
K Y Bi Mo
1 1 2 1
Cartesian
0.000 0.000 0.000
0.000 0.000 3.150
0.000 2.931 3.150
2.931 0.000 3.150
2.931 2.931 0.000
```

Largest 10 diffraction maxima, low angle first, 15 to 90 degrees two-theta:
Position (°2θ)  d/Å  I_rel
20.69  4.292  18
25.72  3.463  100
28.33  3.150  38
30.49  2.931  64
33.72  2.658  32
42.11  2.146  53
43.67  2.073  24
48.60  1.874  18
51.37  1.779  31
52.87  1.732  27

=====

Record 2
The following is a theoretical X-ray powder pattern of KBiN2. It was derived from the PBE geometry in Alexandria, using a wavelength of 1.5418 Å.
Peak positions follow from Bragg's law for the DFT cell and can differ from measured ones.

```
KBiN2
1.0
5.074 0.000 0.000
0.154 6.042 0.000
1.584 -0.013 8.130
K Bi N
2 2 4
Cartesian
0.815 1.511 1.838
5.998 4.518 6.292
3.329 -0.006 4.065
3.406 3.015 4.065
1.531 4.533 0.255
2.548 4.527 0.754
4.264 1.502 7.376
5.281 1.496 7.875
```

Largest 10 diffraction maxima, low angle first, 15 to 90 degrees two-theta:
Position (°2θ)  d/Å  I_rel
17.81  4.979  100
19.04  4.662  72
21.86  4.065  63
22.65  3.925  84
25.50  3.493  89
30.94  2.890  42
31.59  2.832  84
34.33  2.612  31
35.03  2.562  32
37.08  2.425  50

=====

Record 3
The following is a theoretical X-ray powder pattern of KNa5Bi2. It was derived from the PBE geometry in Alexandria, using a wavelength of 1.5418 Å.
Peak positions follow from Bragg's law for the DFT cell and can differ from measured ones.

```
KNa5Bi2
1.0
5.340 0.000 0.000
0.000 9.818 0.000
0.000 0.000 11.838
K Na Bi
2 10 4
Cartesian
0.000 0.000 0.000
2.670 4.909 5.919
0.000 1.710 3.623
0.000 1.710 8.215
0.000 4.909 0.000
0.000 8.107 3.623
0.000 8.107 8.215
2.670 0.000 5.919
2.670 3.198 2.296
2.670 3.198 9.541
2.670 6.619 2.296
2.670 6.619 9.541
0.000 4.909 3.109
0.000 4.909 8.728
2.670 0.000 2.809
2.670 0.000 9.028
```

Largest 10 diffraction maxima, low angle first, 15 to 90 degrees two-theta:
Position (°2θ)  d/Å  I_rel
18.07  4.909  58
18.92  4.691  71
23.55  3.778  31
24.21  3.677  100
30.20  2.959  22
32.08  2.790  40
33.57  2.670  28
35.42  2.534  25
35.57  2.524  66
35.88  2.503  33

=====

Record 4
The following is a theoretical X-ray powder pattern of KNa3Bi3. It was derived from the PBE geometry in Alexandria, using a wavelength of 1.5418 Å.
Peak positions follow from Bragg's law for the DFT cell and can differ from measured ones.

```
KNa3Bi3
1.0
8.632 0.000 0.000
0.000 8.632 0.000
0.000 0.000 8.632
K Na Bi
2 6 6
Cartesian
0.000 0.000 0.000
4.316 4.316 4.316
0.000 2.158 4.316
0.000 6.474 4.316
2.158 4.316 0.000
4.316 0.000 2.158
4.316 0.000 6.474
6.474 4.316 0.000
0.000 4.316 2.158
0.000 4.316 6.474
2.158 0.000 4.316
4.316 2.158 0.000
4.316 6.474 0.000
6.474 0.000 4.316
```

Largest 10 diffraction maxima, low angle first, 15 to 90 degrees two-theta:
Position (°2θ)  d/Å  I_rel
20.58  4.316  19
23.04  3.860  100
25.27  3.524  46
36.04  2.492  35
37.57  2.394  30
39.04  2.307  29
41.86  2.158  22
48.32  1.884  30
57.49  1.603  27
60.69  1.526  15

=====

Record 5
The following is a theoretical X-ray powder pattern of KNaBi4O12. It was derived from the PBE geometry in Alexandria, using a wavelength of 1.5418 Å.
Peak positions follow from Bragg's law for the DFT cell and can differ from measured ones.

```
KNaBi4O12
1.0
8.425 0.000 0.000
0.000 4.088 4.145
0.000 -4.088 4.145
K Na Bi O
1 1 4 12
Cartesian
0.000 0.000 0.000
4.213 0.000 4.425
2.109 -2.027 2.233
2.109 2.027 2.233
6.316 -2.027 2.233
6.316 2.027 2.233
0.000 -1.605 2.304
0.000 1.605 2.304
1.723 0.000 5.906
2.235 -2.555 4.302
2.235 2.555 4.302
2.568 0.000 2.747
4.213 -1.585 6.156
4.213 1.585 6.156
5.857 0.000 2.747
6.191 -2.555 4.302
6.191 2.555 4.302
6.702 0.000 5.906
```

Largest 10 diffraction maxima, low angle first, 15 to 90 degrees two-theta:
Position (°2θ)  d/Å  I_rel
21.09  4.213  100
21.44  4.145  95
21.74  4.088  88
30.25  2.954  80
30.47  2.934  85
30.72  2.911  86
37.56  2.395  57
53.72  1.706  40
54.19  1.693  39
54.60  1.681  41

=====

Record 6
The following is a theoretical X-ray powder pattern of KNaTi4Bi2O12. It was derived from the PBE geometry in Alexandria, using a wavelength of 1.5418 Å.
Peak positions follow from Bragg's law for the DFT cell and can differ from measured ones.

```
KNaTi4Bi2O12
1.0
7.633 0.000 0.000
0.000 3.816 4.675
0.000 -3.816 4.675
K Na Ti Bi O
1 1 4 2 12
Cartesian
0.000 0.000 0.000
3.816 0.000 4.279
1.927 -1.880 6.883
1.927 1.880 6.883
5.706 -1.880 6.883
5.706 1.880 6.883
0.000 0.000 4.012
3.816 0.000 8.781
0.000 -1.853 2.696
0.000 1.853 2.696
1.861 0.000 2.671
1.961 -1.807 5.145
1.961 1.807 5.145
1.970 0.000 7.483
3.816 -1.952 2.789
3.816 1.952 2.789
5.663 0.000 7.483
5.672 -1.807 5.145
5.672 1.807 5.145
5.772 0.000 2.671
```

Largest 10 diffraction maxima, low angle first, 15 to 90 degrees two-theta:
Position (°2θ)  d/Å  I_rel
18.99  4.674  100
30.23  2.956  83
33.20  2.699  55
38.52  2.337  49
47.66  1.908  41
51.74  1.767  36
57.49  1.603  27
62.87  1.478  23
69.69  1.349  17
82.55  1.169  16

=====

Record 7
The following is a theoretical X-ray powder pattern of KNaTi4Bi2O12. It was derived from the PBE geometry in Alexandria, using a wavelength of 1.5418 Å.
Peak positions follow from Bragg's law for the DFT cell and can differ from measured ones.

```
KNaTi4Bi2O12
1.0
5.444 -2.703 0.000
5.444 2.703 0.000
-5.333 0.000 9.267
K Na Ti Bi O
1 1 4 2 12
Cartesian
0.000 0.000 0.000
3.095 0.000 4.416
-0.511 0.000 3.441
3.448 0.000 1.027
2.195 0.000 8.024
6.237 0.000 5.682
-0.772 0.000 6.712
7.419 0.000 2.113
3.767 1.394 2.438
1.032 1.311 7.067
1.050 0.000 2.660
4.881 0.000 0.033
5.066 1.372 4.858
7.782 1.308 0.216
1.032 -1.311 7.067
3.690 0.000 7.137
3.767 -1.394 2.438
7.686 0.000 4.702
7.782 -1.308 0.216
5.066 -1.372 4.858
```

Largest 10 diffraction maxima, low angle first, 15 to 90 degrees two-theta:
Position (°2θ)  d/Å  I_rel
18.81  4.718  40
18.98  4.676  100
19.15  4.634  32
30.00  2.979  72
30.45  2.936  70
33.17  2.700  73
38.35  2.347  24
38.53  2.336  34
47.60  1.910  36
51.72  1.767  19

=====

Record 8
The following is a theoretical X-ray powder pattern of KNd2BiO5. It was derived from the PBE geometry in Alexandria, using a wavelength of 1.5418 Å.
Peak positions follow from Bragg's law for the DFT cell and can differ from measured ones.

```
KNd2BiO5
1.0
6.912 0.000 0.000
0.000 6.912 0.000
0.000 0.000 6.519
K Nd Bi O
2 4 2 10
Cartesian
0.000 0.000 0.000
3.456 3.456 0.000
1.220 2.236 3.259
2.236 5.693 3.259
4.676 1.220 3.259
5.693 4.676 3.259
0.000 3.456 0.000
3.456 0.000 0.000
0.000 0.000 3.259
1.005 4.461 1.749
1.005 4.461 4.770
2.451 1.005 1.749
2.451 1.005 4.770
3.456 3.456 3.259
4.461 5.907 1.749
4.461 5.907 4.770
5.907 2.451 1.749
5.907 2.451 4.770
```

Largest 10 diffraction maxima, low angle first, 15 to 90 degrees two-theta:
Position (°2θ)  d/Å  I_rel
18.15  4.888  50
27.36  3.259  42
29.25  3.054  100
32.04  2.793  38
36.78  2.444  23
40.21  2.243  33
43.68  2.072  41
46.44  1.955  23
49.55  1.840  23
56.47  1.629  20